NaDy3Hg4: calculated X-ray diffraction stick pattern (Cu Kα, 1.54184 Å), based on a cell relaxed with GGA-PBE.
Neutral-atom scattering factors, no anomalous dispersion.

Cell and atoms:
Cell lengths 5.2469, 5.2469, 7.3398 Å; angles 90.00, 90.00, 90.00 degrees
Space group P4/mmm (No. 123)
Inequivalent atoms, fractional coordinates:
1 Na 0.0000 0.0000 0.0000 [1 per cell]
2 Dy 0.0000 0.0000 0.5000 [1 per cell]
3 Dy 0.5000 0.5000 0.0000 [1 per cell]
4 Dy 0.5000 0.5000 0.5000 [1 per cell]
5 Hg 0.0000 0.5000 0.2493 [4 per cell]

Largest 8 diffraction maxima, low angle first, 10 to 90 degrees two-theta:
2θ 34.18, I 508; 2θ 34.37, I 1000; 2θ 49.11, I 185; 2θ 49.69, I 89; 2θ 61.32, I 382; 2θ 61.69, I 188; 2θ 72.45, I 118; 2θ 82.16, I 85

=====

NdCoHg: calculated X-ray diffraction stick pattern (Cu Kα, 1.54184 Å), based on a cell relaxed with GGA-PBE.
Neutral-atom scattering factors, no anomalous dispersion.

Cell and atoms:
Cell lengths 4.0827, 16.7045, 3.9347 Å; angles 90.00, 90.00, 90.00 degrees
Space group Cmcm (No. 63)
Inequivalent atoms, fractional coordinates:
1 Nd 0.0000 0.0980 0.2500 [4 per cell]
2 Co 0.0000 0.4674 0.2500 [4 per cell]
3 Hg 0.0000 0.2989 0.2500 [4 per cell]

Largest 8 diffraction maxima, low angle first, 10 to 90 degrees two-theta:
2θ 31.23, I 354; 2θ 32.04, I 1000; 2θ 34.69, I 699; 2θ 39.66, I 366; 2θ 44.38, I 206; 2θ 46.14, I 184; 2θ 59.00, I 304; 2θ 61.01, I 205

=====

Na2B3C: calculated X-ray diffraction stick pattern (Cu Kα, 1.54184 Å), based on a cell relaxed with GGA-PBE.
Neutral-atom scattering factors, no anomalous dispersion.

Cell and atoms:
Cell lengths 23.1777, 2.8388, 10.0530 Å; angles 90.00, 106.69, 90.00 degrees
Space group Cm (No. 8)
Inequivalent atoms, fractional coordinates:
1 Na 0.0000 0.0000 0.0000 [2 per cell]
2 Na 0.0004 0.5000 0.4960 [2 per cell]
3 Na 0.0998 0.5000 0.2036 [2 per cell]
4 Na 0.1009 0.0000 0.6980 [2 per cell]
5 Na 0.2000 0.0000 0.3987 [2 per cell]
6 Na 0.2014 0.5000 0.8968 [2 per cell]
7 Na 0.2995 0.5000 0.5962 [2 per cell]
8 Na 0.3012 0.0000 0.0951 [2 per cell]
9 Na 0.3989 0.0000 0.7990 [2 per cell]
10 Na 0.3993 0.5000 0.2954 [2 per cell]
11 B 0.0195 0.0000 0.2872 [2 per cell]
12 B 0.0229 0.5000 0.7935 [2 per cell]
13 B 0.0863 0.5000 0.9198 [2 per cell]
14 B 0.0893 0.0000 0.4254 [2 per cell]
15 B 0.1275 0.0000 0.0031 [2 per cell]
16 B 0.1839 0.5000 0.6134 [2 per cell]
17 B 0.2176 0.5000 0.1832 [2 per cell]
18 B 0.2769 0.0000 0.8008 [2 per cell]
19 B 0.3092 0.0000 0.3659 [2 per cell]
20 B 0.3172 0.5000 0.8827 [2 per cell]
21 B 0.3761 0.0000 0.4990 [2 per cell]
22 B 0.3857 0.5000 0.0198 [2 per cell]
23 B 0.4158 0.5000 0.5792 [2 per cell]
24 B 0.4794 0.0000 0.2072 [2 per cell]
25 B 0.4800 0.5000 0.7079 [2 per cell]
26 C 0.1204 0.5000 0.4864 [2 per cell]
27 C 0.1869 0.0000 0.1225 [2 per cell]
28 C 0.2152 0.0000 0.6759 [2 per cell]
29 C 0.2794 0.5000 0.3066 [2 per cell]
30 C 0.4172 0.0000 0.0835 [2 per cell]

Largest 8 diffraction maxima, low angle first, 10 to 90 degrees two-theta:
2θ 34.56, I 120; 2θ 36.06, I 172; 2θ 40.56, I 248; 2θ 40.64, I 246; 2θ 41.92, I 1000; 2θ 42.03, I 374; 2θ 62.90, I 173; 2θ 80.25, I 99

=====

ZrTaTc: calculated X-ray diffraction stick pattern (Cu Kα, 1.54184 Å), based on a cell relaxed with GGA-PBE.
Neutral-atom scattering factors, no anomalous dispersion.

Cell and atoms:
Cell lengths 5.3806, 5.5966, 7.4991 Å; angles 90.00, 90.00, 90.00 degrees
Space group Imma (No. 74)
Inequivalent atoms, fractional coordinates:
1 Zr 0.0000 0.2500 0.1207 [4 per cell]
2 Ta 0.0000 0.0000 0.5000 [4 per cell]
3 Tc 0.2500 0.2500 0.7500 [4 per cell]

Largest 8 diffraction maxima, low angle first, 10 to 90 degrees two-theta:
2θ 20.31, I 484; 2θ 33.26, I 384; 2θ 38.19, I 1000; 2θ 39.04, I 419; 2θ 39.76, I 421; 2θ 40.21, I 537; 2θ 41.30, I 536; 2θ 69.77, I 381

=====

Tm3Mg2Pb6: calculated X-ray diffraction stick pattern (Cu Kα, 1.54184 Å), based on a cell relaxed with GGA-PBE.
Neutral-atom scattering factors, no anomalous dispersion.

Cell and atoms:
Cell lengths 4.7736, 4.7736, 28.8044 Å; angles 90.00, 90.00, 90.00 degrees
Space group I4/mmm (No. 139)
Inequivalent atoms, fractional coordinates:
1 Tm 0.0000 0.0000 0.0000 [2 per cell]
2 Tm 0.0000 0.0000 0.1563 [4 per cell]
3 Mg 0.0000 0.0000 0.3603 [4 per cell]
4 Pb 0.0000 0.0000 0.2630 [4 per cell]
5 Pb 0.0000 0.5000 0.0750 [8 per cell]

Largest 8 diffraction maxima, low angle first, 10 to 90 degrees two-theta:
2θ 18.48, I 330; 2θ 27.13, I 1000; 2θ 28.64, I 458; 2θ 32.42, I 746; 2θ 36.49, I 912; 2θ 37.69, I 935; 2θ 54.19, I 341; 2θ 54.36, I 330

=====

Np2Ga3Pt4: calculated X-ray diffraction stick pattern (Cu Kα, 1.54184 Å), based on a cell relaxed with GGA-PBE.
Neutral-atom scattering factors, no anomalous dispersion.

Cell and atoms:
Cell lengths 5.6506, 15.5795, 7.4902 Å; angles 90.00, 90.00, 90.00 degrees
Space group Cmce (No. 64)
Inequivalent atoms, fractional coordinates:
1 Np 0.0000 0.1013 0.1002 [8 per cell]
2 Ga 0.0000 0.0000 0.5000 [4 per cell]
3 Ga 0.2500 0.2334 0.7500 [8 per cell]
4 Pt 0.0000 0.1763 0.4754 [8 per cell]
5 Pt 0.2500 0.0649 0.7500 [8 per cell]

Largest 8 diffraction maxima, low angle first, 10 to 90 degrees two-theta:
2θ 33.49, I 406; 2θ 35.00, I 1000; 2θ 35.87, I 678; 2θ 37.84, I 579; 2θ 39.96, I 974; 2θ 42.36, I 290; 2θ 58.58, I 232; 2θ 70.38, I 292

=====

Y6Ga17Pd5: calculated X-ray diffraction stick pattern (Cu Kα, 1.54184 Å), based on a cell relaxed with GGA-PBE.
Neutral-atom scattering factors, no anomalous dispersion.

Cell and atoms:
Cell lengths 15.8345, 4.2742, 15.7562 Å; angles 90.00, 104.60, 90.00 degrees
Space group C2/m (No. 12)
Inequivalent atoms, fractional coordinates:
1 Y 0.0918 0.0000 0.4056 [4 per cell]
2 Y 0.1014 0.5000 0.9021 [4 per cell]
3 Y 0.2467 0.0000 0.2505 [4 per cell]
4 Ga 0.0000 0.0000 0.0000 [2 per cell]
5 Ga 0.0385 0.0000 0.1786 [4 per cell]
6 Ga 0.0469 0.5000 0.6735 [4 per cell]
7 Ga 0.1011 0.5000 0.2635 [4 per cell]
8 Ga 0.1084 0.0000 0.7654 [4 per cell]
9 Ga 0.1742 0.5000 0.5434 [4 per cell]
10 Ga 0.1783 0.0000 0.0403 [4 per cell]
11 Ga 0.2314 0.5000 0.3974 [4 per cell]
12 Ga 0.2405 0.0000 0.8949 [4 per cell]
13 Pd 0.0000 0.5000 0.5000 [2 per cell]
14 Pd 0.0915 0.5000 0.0943 [4 per cell]
15 Pd 0.1070 0.0000 0.6044 [4 per cell]

Largest 8 diffraction maxima, low angle first, 10 to 90 degrees two-theta:
2θ 34.89, I 285; 2θ 35.31, I 1000; 2θ 35.42, I 845; 2θ 37.77, I 250; 2θ 37.89, I 259; 2θ 42.29, I 697; 2θ 43.45, I 361; 2θ 62.24, I 240

=====

AlAg14Hg: calculated X-ray diffraction stick pattern (Cu Kα, 1.54184 Å), based on a cell relaxed with GGA-PBE.
Neutral-atom scattering factors, no anomalous dispersion.

Cell and atoms:
Cell lengths 9.5462, 6.1751, 9.8258 Å; angles 90.00, 90.00, 90.00 degrees
Space group Amm2 (No. 38)
Inequivalent atoms, fractional coordinates:
1 Al 0.0000 0.0000 0.0000 [2 per cell]
2 Ag 0.0000 0.2461 0.2518 [4 per cell]
3 Ag 0.2473 0.0000 0.8210 [4 per cell]
4 Ag 0.2494 0.2419 0.0718 [8 per cell]
5 Ag 0.2555 0.0000 0.3242 [4 per cell]
6 Ag 0.5000 0.0000 0.1462 [2 per cell]
7 Ag 0.5000 0.0000 0.6431 [2 per cell]
8 Ag 0.5000 0.2453 0.8951 [4 per cell]
9 Hg 0.0000 0.0000 0.5031 [2 per cell]

Largest 8 diffraction maxima, low angle first, 10 to 90 degrees two-theta:
2θ 35.61, I 307; 2θ 37.69, I 428; 2θ 37.82, I 203; 2θ 39.30, I 1000; 2θ 41.34, I 243; 2θ 69.11, I 175; 2θ 73.02, I 168; 2θ 77.09, I 176

=====

ScZn4Pt5: calculated X-ray diffraction stick pattern (Cu Kα, 1.54184 Å), based on a cell relaxed with GGA-PBE.
Neutral-atom scattering factors, no anomalous dispersion.

Cell and atoms:
Cell lengths 2.9411, 2.9411, 17.5222 Å; angles 90.00, 90.00, 90.00 degrees
Space group P4/mmm (No. 123)
Inequivalent atoms, fractional coordinates:
1 Sc 0.0000 0.0000 0.0000 [1 per cell]
2 Zn 0.0000 0.0000 0.2097 [2 per cell]
3 Zn 0.0000 0.0000 0.4031 [2 per cell]
4 Pt 0.5000 0.5000 0.1095 [2 per cell]
5 Pt 0.5000 0.5000 0.3052 [2 per cell]
6 Pt 0.5000 0.5000 0.5000 [1 per cell]

Largest 8 diffraction maxima, low angle first, 10 to 90 degrees two-theta:
2θ 25.42, I 190; 2θ 30.39, I 255; 2θ 40.02, I 1000; 2θ 43.52, I 413; 2θ 51.07, I 122; 2θ 63.23, I 135; 2θ 70.24, I 164; 2θ 77.52, I 286

=====

PmCd3Au4: calculated X-ray diffraction stick pattern (Cu Kα, 1.54184 Å), based on a cell relaxed with GGA-PBE.
Neutral-atom scattering factors, no anomalous dispersion.

Cell and atoms:
Cell lengths 4.8511, 4.8511, 24.9145 Å; angles 90.00, 90.00, 120.00 degrees
Space group R-3m (No. 166, hexagonal axes)
Inequivalent atoms, fractional coordinates:
1 Pm 0.0000 0.0000 0.0000 [3 per cell]
2 Cd 0.0000 0.0000 0.2489 [6 per cell]
3 Cd 0.0000 0.0000 0.5000 [3 per cell]
4 Au 0.0000 0.0000 0.1262 [6 per cell]
5 Au 0.0000 0.0000 0.3852 [6 per cell]

Largest 8 diffraction maxima, low angle first, 10 to 90 degrees two-theta:
2θ 35.89, I 1000; 2θ 37.06, I 995; 2θ 52.55, I 344; 2θ 63.74, I 146; 2θ 66.04, I 341; 2θ 66.80, I 177; 2θ 87.80, I 140; 2θ 89.89, I 157

=====

Cs5Zr2S6: calculated X-ray diffraction stick pattern (Cu Kα, 1.54184 Å), based on a cell relaxed with GGA-PBE.
Neutral-atom scattering factors, no anomalous dispersion.

Cell and atoms:
Cell lengths 13.8408, 8.8032, 18.3984 Å; angles 90.00, 101.63, 90.00 degrees
Space group C2/c (No. 15)
Inequivalent atoms, fractional coordinates:
1 Cs 0.0000 0.1279 0.2500 [4 per cell]
2 Cs 0.0561 0.2387 0.9976 [8 per cell]
3 Cs 0.1574 0.4090 0.7209 [8 per cell]
4 Zr 0.2271 0.3633 0.4280 [8 per cell]
5 S 0.0638 0.4494 0.3733 [8 per cell]
6 S 0.1490 0.0478 0.6377 [8 per cell]
7 S 0.2265 0.0777 0.4362 [8 per cell]

Largest 8 diffraction maxima, low angle first, 10 to 90 degrees two-theta:
2θ 19.71, I 376; 2θ 22.50, I 631; 2θ 23.52, I 1000; 2θ 24.33, I 983; 2θ 25.08, I 730; 2θ 25.85, I 541; 2θ 36.27, I 349; 2θ 39.10, I 312

=====

SmAl: calculated X-ray diffraction stick pattern (Cu Kα, 1.54184 Å), based on a cell relaxed with GGA-PBE.
Neutral-atom scattering factors, no anomalous dispersion.

Cell and atoms:
Cell lengths 3.6798, 3.6798, 3.6798 Å; angles 90.00, 90.00, 90.00 degrees
Space group Pm-3m (No. 221)
Inequivalent atoms, fractional coordinates:
1 Sm 0.0000 0.0000 0.0000 [1 per cell]
2 Al 0.5000 0.5000 0.5000 [1 per cell]

Largest 8 diffraction maxima, low angle first, 10 to 90 degrees two-theta:
2θ 24.19, I 589; 2θ 34.47, I 1000; 2θ 42.55, I 180; 2θ 49.54, I 179; 2θ 55.87, I 244; 2θ 61.75, I 369; 2θ 77.88, I 115; 2θ 82.98, I 160